Entry 1:
# Rb3LiAu2I6
Simulated XRD peak list, Cu Kα (weighted mean of Kα1 and Kα2). Input: DFT lattice parameters and positions (GGA-PBE).

Principal peaks in the range 2θ = 10–90°, by angle:
2θ = 14.93°, rel. 1000
2θ = 18.50°, rel. 583
2θ = 23.57°, rel. 351
2θ = 25.36°, rel. 470
2θ = 27.90°, rel. 304
2θ = 30.13°, rel. 556
2θ = 32.74°, rel. 528
2θ = 41.43°, rel. 467
2θ = 45.73°, rel. 303
2θ = 50.69°, rel. 318

Cell and atoms:
abc: 8.717 8.717 9.594
angles: 90.00 90.00 120.00
Atoms (fractional coordinates):
Rb 0.000 0.000 0.000
Rb 0.333 0.667 0.652
Rb 0.667 0.333 0.348
Li 0.000 0.000 0.500
Au 0.333 0.667 0.292
Au 0.667 0.333 0.708
I 0.154 0.308 0.296
I 0.154 0.846 0.296
I 0.308 0.154 0.704
I 0.692 0.846 0.296
I 0.846 0.154 0.704
I 0.846 0.692 0.704



Entry 2:
# Mn2AuI8
Simulated XRD peak list, Cu Kα (weighted mean of Kα1 and Kα2). Input: DFT lattice parameters and positions (GGA-PBE).

Principal peaks in the range 2θ = 10–90°, by angle:
2θ = 12.11°, rel. 405
2θ = 16.35°, rel. 370
2θ = 16.85°, rel. 428
2θ = 18.40°, rel. 829
2θ = 24.80°, rel. 1000
2θ = 25.48°, rel. 608
2θ = 26.83°, rel. 399
2θ = 32.29°, rel. 404
2θ = 32.66°, rel. 415
2θ = 43.21°, rel. 249

Cell and atoms:
abc: 8.381 8.381 7.308
angles: 90.82 90.82 77.78
Atoms (fractional coordinates):
Mn 0.234 0.234 0.185
Mn 0.766 0.766 0.815
Au 0.000 0.000 0.500
I 0.075 0.712 0.677
I 0.256 0.256 0.835
I 0.288 0.925 0.323
I 0.421 0.421 0.307
I 0.579 0.579 0.693
I 0.712 0.075 0.677
I 0.744 0.744 0.165
I 0.925 0.288 0.323



Entry 3:
# Mn5AuI12
Simulated XRD peak list, Cu Kα (weighted mean of Kα1 and Kα2). Input: DFT lattice parameters and positions (GGA-PBE).

Principal peaks in the range 2θ = 10–90°, by angle:
2θ = 11.62°, rel. 1000
2θ = 24.65°, rel. 298
2θ = 27.26°, rel. 497
2θ = 27.78°, rel. 781
2θ = 29.29°, rel. 338
2θ = 38.32°, rel. 306
2θ = 39.28°, rel. 287
2θ = 43.18°, rel. 464
2θ = 43.70°, rel. 312
2θ = 44.18°, rel. 335

Cell and atoms:
abc: 7.168 7.168 15.255
angles: 91.45 91.45 118.25
Atoms (fractional coordinates):
Mn 0.000 0.000 0.000
Mn 0.158 0.842 0.500
Mn 0.333 0.667 0.000
Mn 0.667 0.333 0.000
Mn 0.842 0.158 0.500
Au 0.500 0.500 0.500
I 0.012 0.678 0.108
I 0.134 0.134 0.620
I 0.169 0.503 0.396
I 0.322 0.988 0.892
I 0.345 0.345 0.108
I 0.497 0.831 0.604
I 0.503 0.169 0.396
I 0.655 0.655 0.892
I 0.678 0.012 0.108
I 0.831 0.497 0.604
I 0.866 0.866 0.380
I 0.988 0.322 0.892



Entry 4:
# MnPRhAuI
Simulated XRD peak list, Cu Kα (weighted mean of Kα1 and Kα2). Input: DFT lattice parameters and positions (GGA-PBE).

Principal peaks in the range 2θ = 10–90°, by angle:
2θ = 11.37°, rel. 308
2θ = 28.29°, rel. 584
2θ = 33.41°, rel. 1000
2θ = 38.47°, rel. 403
2θ = 38.59°, rel. 196
2θ = 46.67°, rel. 123
2θ = 48.11°, rel. 492
2θ = 59.79°, rel. 120
2θ = 69.17°, rel. 111
2θ = 89.81°, rel. 107

Cell and atoms:
abc: 3.782 3.783 8.077
angles: 76.68 76.61 60.03
Atoms (fractional coordinates):
Mn 0.000 0.000 0.000
P 0.623 0.624 0.130
Rh 0.255 0.257 0.235
Au 0.848 0.849 0.457
I 0.421 0.413 0.736



Entry 5:
# MnPRhAuI
Simulated XRD peak list, Cu Kα (weighted mean of Kα1 and Kα2). Input: DFT lattice parameters and positions (GGA-PBE).

Principal peaks in the range 2θ = 10–90°, by angle:
2θ = 18.30°, rel. 186
2θ = 30.88°, rel. 762
2θ = 31.24°, rel. 1000
2θ = 32.21°, rel. 245
2θ = 35.68°, rel. 236
2θ = 36.81°, rel. 311
2θ = 40.34°, rel. 214
2θ = 44.15°, rel. 213
2θ = 45.34°, rel. 482
2θ = 51.64°, rel. 189

Cell and atoms:
abc: 5.558 3.540 5.728
angles: 90.00 118.52 90.00
Atoms (fractional coordinates):
Mn 0.000 0.000 0.000
P 0.630 0.500 0.831
Rh 0.511 0.000 0.544
Au 0.415 0.500 0.121
I 0.992 0.000 0.489



Entry 6:
# MnPRhAuI
Simulated XRD peak list, Cu Kα (weighted mean of Kα1 and Kα2). Input: DFT lattice parameters and positions (GGA-PBE).

Principal peaks in the range 2θ = 10–90°, by angle:
2θ = 11.45°, rel. 462
2θ = 28.48°, rel. 1000
2θ = 34.98°, rel. 695
2θ = 43.96°, rel. 531
2θ = 45.84°, rel. 501
2θ = 54.85°, rel. 161
2θ = 58.94°, rel. 156
2θ = 65.38°, rel. 160
2θ = 67.77°, rel. 162
2θ = 83.50°, rel. 166

Cell and atoms:
abc: 3.959 3.959 7.729
angles: 90.00 90.00 120.00
Atoms (fractional coordinates):
Mn 0.000 0.000 0.000
P 0.333 0.667 0.086
Rh 0.667 0.333 0.181
Au 0.333 0.667 0.407
I 0.000 0.000 0.651



Entry 7:
# MnSiPdAuI
Simulated XRD peak list, Cu Kα (weighted mean of Kα1 and Kα2). Input: DFT lattice parameters and positions (GGA-PBE).

Principal peaks in the range 2θ = 10–90°, by angle:
2θ = 11.06°, rel. 407
2θ = 22.22°, rel. 277
2θ = 25.34°, rel. 631
2θ = 27.72°, rel. 829
2θ = 33.95°, rel. 1000
2θ = 42.55°, rel. 847
2θ = 44.66°, rel. 725
2θ = 57.26°, rel. 223
2θ = 63.39°, rel. 257
2θ = 80.83°, rel. 262

Cell and atoms:
abc: 4.058 4.058 8.001
angles: 90.00 90.00 120.00
Atoms (fractional coordinates):
Mn 0.000 0.000 0.000
Si 0.000 0.000 0.308
Pd 0.333 0.667 0.213
Au 0.667 0.333 0.421
I 0.667 0.333 0.804



Entry 8:
# Rb2MnAuI6
Simulated XRD peak list, Cu Kα (weighted mean of Kα1 and Kα2). Input: DFT lattice parameters and positions (GGA-PBE).

Principal peaks in the range 2θ = 10–90°, by angle:
2θ = 14.83°, rel. 494
2θ = 15.05°, rel. 238
2θ = 24.76°, rel. 330
2θ = 25.97°, rel. 914
2θ = 29.92°, rel. 1000
2θ = 30.37°, rel. 483
2θ = 32.71°, rel. 214
2θ = 42.83°, rel. 338
2θ = 43.16°, rel. 665
2θ = 53.41°, rel. 320

Cell and atoms:
abc: 8.385 8.385 8.385
angles: 119.52 119.52 90.83
Atoms (fractional coordinates):
Rb 0.250 0.750 0.500
Rb 0.750 0.250 0.500
Mn 0.000 0.000 0.000
Au 0.500 0.500 0.000
I 0.224 0.224 0.448
I 0.224 0.776 0.000
I 0.275 0.275 0.000
I 0.725 0.725 0.000
I 0.776 0.224 0.000
I 0.776 0.776 0.552



Entry 9:
# AuI4N2
Simulated XRD peak list, Cu Kα (weighted mean of Kα1 and Kα2). Input: DFT lattice parameters and positions (GGA-PBE).

Principal peaks in the range 2θ = 10–90°, by angle:
2θ = 12.93°, rel. 812
2θ = 20.68°, rel. 813
2θ = 21.72°, rel. 1000
2θ = 24.95°, rel. 577
2θ = 27.65°, rel. 663
2θ = 29.40°, rel. 450
2θ = 34.98°, rel. 602
2θ = 40.38°, rel. 303
2θ = 42.11°, rel. 483
2θ = 43.11°, rel. 312

Cell and atoms:
abc: 3.967 4.588 13.807
angles: 83.85 84.21 74.26
Atoms (fractional coordinates):
Au 0.000 0.000 0.000
I 0.202 0.377 0.604
I 0.414 0.129 0.130
I 0.586 0.871 0.870
I 0.798 0.623 0.396
N 0.263 0.362 0.413
N 0.737 0.638 0.587



Entry 10:
# Au2IN
Simulated XRD peak list, Cu Kα (weighted mean of Kα1 and Kα2). Input: DFT lattice parameters and positions (GGA-PBE).

Principal peaks in the range 2θ = 10–90°, by angle:
2θ = 17.54°, rel. 487
2θ = 27.05°, rel. 256
2θ = 27.40°, rel. 948
2θ = 35.51°, rel. 1000
2θ = 36.83°, rel. 885
2θ = 40.85°, rel. 333
2θ = 55.78°, rel. 496
2θ = 56.55°, rel. 267
2θ = 60.38°, rel. 215
2θ = 78.37°, rel. 212

Cell and atoms:
abc: 7.191 7.191 7.191
angles: 134.40 134.40 66.46
Atoms (fractional coordinates):
Au 0.000 0.000 0.000
Au 0.000 0.000 0.500
Au 0.000 0.500 0.000
Au 0.500 0.000 0.500
I 0.375 0.625 0.750
I 0.625 0.375 0.250
N 0.125 0.875 0.250
N 0.875 0.125 0.750



Entry 11:
# Na2AuI
Simulated XRD peak list, Cu Kα (weighted mean of Kα1 and Kα2). Input: DFT lattice parameters and positions (GGA-PBE).

Principal peaks in the range 2θ = 10–90°, by angle:
2θ = 23.45°, rel. 441
2θ = 23.81°, rel. 1000
2θ = 24.77°, rel. 545
2θ = 28.30°, rel. 277
2θ = 30.70°, rel. 980
2θ = 36.41°, rel. 552
2θ = 41.28°, rel. 560
2θ = 48.00°, rel. 519
2θ = 52.32°, rel. 219
2θ = 65.09°, rel. 282

Cell and atoms:
abc: 7.998 7.998 7.998
angles: 31.74 31.74 31.74
Atoms (fractional coordinates):
Na 0.000 0.000 0.000
Na 0.175 0.175 0.175
Au 0.587 0.587 0.587
I 0.755 0.755 0.755



Q: Which formula does entry 7 have?
A: MnSiPdAuI



What did the third record say?
# Mn5AuI12
Simulated XRD peak list, Cu Kα (weighted mean of Kα1 and Kα2). Input: DFT lattice parameters and positions (GGA-PBE).

Principal peaks in the range 2θ = 10–90°, by angle:
2θ = 11.62°, rel. 1000
2θ = 24.65°, rel. 298
2θ = 27.26°, rel. 497
2θ = 27.78°, rel. 781
2θ = 29.29°, rel. 338
2θ = 38.32°, rel. 306
2θ = 39.28°, rel. 287
2θ = 43.18°, rel. 464
2θ = 43.70°, rel. 312
2θ = 44.18°, rel. 335

Cell and atoms:
abc: 7.168 7.168 15.255
angles: 91.45 91.45 118.25
Atoms (fractional coordinates):
Mn 0.000 0.000 0.000
Mn 0.158 0.842 0.500
Mn 0.333 0.667 0.000
Mn 0.667 0.333 0.000
Mn 0.842 0.158 0.500
Au 0.500 0.500 0.500
I 0.012 0.678 0.108
I 0.134 0.134 0.620
I 0.169 0.503 0.396
I 0.322 0.988 0.892
I 0.345 0.345 0.108
I 0.497 0.831 0.604
I 0.503 0.169 0.396
I 0.655 0.655 0.892
I 0.678 0.012 0.108
I 0.831 0.497 0.604
I 0.866 0.866 0.380
I 0.988 0.322 0.892